Entry 1:
Ac5PdRu: simulated PXRD pattern (λ = 1.5418 Å (Cu Kα)), based on a structure optimized by DFT (PBE).

Top 10 peaks for 2θ from 10° to 90°, sorted by position:
index, 2theta, I/Imax
1 0 1, 12.90, 35
2 0 2, 25.97, 60
1 1 -2, 26.30, 41
0 1 3, 26.70, 60
0 0 5, 27.34, 62
2 0 -3, 28.12, 100
1 1 3, 29.36, 91
1 1 4, 32.89, 33
0 2 0, 42.75, 43
2 2 -3, 51.96, 38

Cell and atoms:
```
data_Ac5PdRu
_chemical_formula_sum 'Ac10 Pd2 Ru2'
_cell_length_a 7.664
_cell_length_b 4.230
_cell_length_c 16.319
_cell_angle_alpha 90.00
_cell_angle_beta 91.59
_cell_angle_gamma 90.00
_symmetry_space_group_name_H-M 'P 1 21/m 1'
_symmetry_Int_Tables_number 11
loop_
_symmetry_equiv_pos_as_xyz
'x,y,z'
'-x,-y,-z'
'-x,y+1/2,-z'
'x,-y+1/2,z'
loop_
_atom_site_label
_atom_site_type_symbol
_atom_site_fract_x
_atom_site_fract_y
_atom_site_fract_z
Ac1 Ac 0.052 0.250 0.219
Ac2 Ac 0.132 0.250 0.584
Ac3 Ac 0.222 0.750 0.001
Ac4 Ac 0.376 0.750 0.413
Ac5 Ac 0.411 0.250 0.804
Pd1 Pd 0.366 0.750 0.665
Ru1 Ru 0.088 0.250 0.885
```



Entry 2:
AcNd2Y6: simulated PXRD pattern (λ = 1.5418 Å (Cu Kα)), based on a structure optimized by DFT (PBE).

Top 10 peaks for 2θ from 10° to 90°, sorted by position:
index, 2theta, I/Imax
2 4 0, 25.84, 8
0 6 0, 29.98, 100
3 3 -1, 31.21, 62
0 4 2, 34.75, 24
3 5 1, 39.01, 14
3 7 1, 46.57, 11
3 1 -3, 48.22, 8
3 9 -1, 54.07, 13
3 3 3, 54.50, 13
6 4 0, 54.76, 11

Cell and atoms:
```
data_AcNd2Y6
_chemical_formula_sum 'Ac4 Nd8 Y24'
_cell_length_a 10.900
_cell_length_b 17.852
_cell_length_c 6.354
_cell_angle_alpha 90.00
_cell_angle_beta 95.14
_cell_angle_gamma 90.00
_symmetry_space_group_name_H-M 'C 1 2/c 1'
_symmetry_Int_Tables_number 15
loop_
_symmetry_equiv_pos_as_xyz
'x,y,z'
'-x,-y,-z'
'-x,y,-z+1/2'
'x,-y,z+1/2'
'x+1/2,y+1/2,z'
'-x+1/2,-y+1/2,-z'
'-x+1/2,y+1/2,-z+1/2'
'x+1/2,-y+1/2,z+1/2'
loop_
_atom_site_label
_atom_site_type_symbol
_atom_site_fract_x
_atom_site_fract_y
_atom_site_fract_z
Ac1 Ac 0.000 0.249 0.250
Nd1 Nd 0.250 0.096 0.499
Y1 Y 0.089 0.077 0.992
Y2 Y 0.089 0.422 0.993
Y3 Y 0.159 0.250 0.772
```



Entry 3:
Pr5Y3Te8: simulated PXRD pattern (λ = 1.5418 Å (Cu Kα)), based on a structure optimized by DFT (PBE).

Top 10 peaks for 2θ from 10° to 90°, sorted by position:
index, 2theta, I/Imax
0 2 4, 28.22, 100
2 0 8, 40.08, 38
2 2 0, 40.60, 37
0 0 12, 49.31, 7
4 0 4, 50.18, 20
0 4 8, 58.37, 13
2 2 12, 65.71, 17
2 4 4, 66.44, 17
4 2 8, 73.52, 12
6 0 0, 73.86, 6

Cell and atoms:
```
data_Pr5Y3Te8
_chemical_formula_sum 'Pr15 Y9 Te24'
_cell_length_a 8.8892
_cell_length_b 8.8892
_cell_length_c 22.1786
_cell_angle_alpha 90.00
_cell_angle_beta 90.00
_cell_angle_gamma 120.00
_symmetry_space_group_name_H-M 'R -3 m'
_symmetry_Int_Tables_number 166
_symmetry_space_group_name_Hall '-R 3 2"'
loop_
_atom_site_label
_atom_site_type_symbol
_atom_site_fract_x
_atom_site_fract_y
_atom_site_fract_z
Pr1 Pr 0.0000 0.0000 0.0000
Pr2 Pr 0.0000 0.0000 0.5000
Pr3 Pr 0.0000 0.5000 0.0000
Y1 Y 0.0000 0.5000 0.5000
Te1 Te 0.0000 0.0000 0.2452
Te2 Te 0.0065 0.5032 0.7532
```